Entry 1:
Mn3P4O16: theoretical powder XRD pattern (Cu Kα), based on a structure optimized by DFT (PBE+U).
Kinematic intensities with the Lorentz-polarization factor, no thermal factor.

Most intense lines, 10° ≤ 2θ ≤ 90°, sorted by position:
16.63°, rel. 100.0
20.68°, rel. 23.2
21.80°, rel. 35.8
23.89°, rel. 63.6
24.87°, rel. 41.9
26.32°, rel. 66.4
31.70°, rel. 39.1
35.85°, rel. 22.2
37.54°, rel. 24.5
40.36°, rel. 18.5

Crystal structure
Unit cell a=7.604 b=7.490 c=10.035 alpha=90.00 beta=93.24 gamma=90.00
Space group P2_1 (No. 4)
One atom of each set of equivalent atoms:
Mn  0.155  0.000  0.320 (multiplicity 2)
Mn  0.266  0.616  0.373 (multiplicity 2)
Mn  0.279  0.655  0.875 (multiplicity 2)
P  0.059  0.810  0.101 (multiplicity 2)
P  0.066  0.846  0.616 (multiplicity 2)
P  0.450  0.465  0.133 (multiplicity 2)
P  0.452  0.436  0.641 (multiplicity 2)
O  0.008  0.006  0.161 (multiplicity 2)
O  0.024  0.526  0.362 (multiplicity 2)
O  0.077  0.199  0.398 (multiplicity 2)
O  0.086  0.182  0.904 (multiplicity 2)
O  0.151  0.844  0.473 (multiplicity 2)
O  0.164  0.832  0.975 (multiplicity 2)
O  0.208  0.783  0.227 (multiplicity 2)
O  0.214  0.794  0.717 (multiplicity 2)
O  0.299  0.509  0.023 (multiplicity 2)
O  0.312  0.496  0.531 (multiplicity 2)
O  0.345  0.441  0.266 (multiplicity 2)
O  0.360  0.458  0.773 (multiplicity 2)
O  0.386  0.065  0.356 (multiplicity 2)
O  0.407  0.097  0.856 (multiplicity 2)
O  0.487  0.744  0.390 (multiplicity 2)
O  0.496  0.763  0.896 (multiplicity 2)

Entry 2:
BaNaPrWO6: theoretical powder XRD pattern (Cu Kα), based on a structure optimized by DFT (PBE+U).
Kinematic intensities with the Lorentz-polarization factor, no thermal factor.

Most intense lines, 10° ≤ 2θ ≤ 90°, sorted by position:
14.68°, rel. 10.3
20.77°, rel. 15.4
20.84°, rel. 7.9
29.57°, rel. 100.0
42.18°, rel. 9.5
42.38°, rel. 18.8
52.39°, rel. 14.5
52.51°, rel. 28.9
61.34°, rel. 11.3
84.81°, rel. 7.6

Crystal structure
Unit cell a=8.525 b=8.537 c=8.569 alpha=90.00 beta=90.00 gamma=90.00
Space group Pnnn (No. 48, origin choice 2)
One atom of each set of equivalent atoms:
Ba  0.250  0.250  0.250 (multiplicity 2)
Ba  0.250  0.250  0.750 (multiplicity 2)
Na  0.250  0.750  0.250 (multiplicity 2)
Na  0.250  0.750  0.750 (multiplicity 2)
Pr  0.000  0.000  0.000 (multiplicity 4)
W  0.000  0.000  0.500 (multiplicity 4)
O  0.023  0.725  0.042 (multiplicity 8)
O  0.030  0.538  0.775 (multiplicity 8)
O  0.227  0.035  0.478 (multiplicity 8)

Entry 3:
Sb2MoO6: theoretical powder XRD pattern (Cu Kα), based on a structure optimized by DFT (PBE+U).
Kinematic intensities with the Lorentz-polarization factor, no thermal factor.

Most intense lines, 10° ≤ 2θ ≤ 90°, sorted by position:
19.80°, rel. 33.4
25.85°, rel. 84.8
26.01°, rel. 99.8
29.17°, rel. 57.5
29.40°, rel. 100.0
32.00°, rel. 41.2
34.93°, rel. 15.8
38.97°, rel. 20.1
47.75°, rel. 17.6
48.32°, rel. 15.7

Crystal structure
Unit cell a=7.665 b=7.699 c=10.341 alpha=69.80 beta=70.23 gamma=83.94
Space group P-1 (No. 2)
One atom of each set of equivalent atoms:
Sb  0.057  0.125  0.174 (multiplicity 2)
Sb  0.132  0.556  0.171 (multiplicity 2)
Sb  0.379  0.923  0.838 (multiplicity 2)
Sb  0.424  0.369  0.837 (multiplicity 2)
Mo  0.226  0.273  0.514 (multiplicity 2)
Mo  0.271  0.776  0.498 (multiplicity 2)
O  0.021  0.743  0.441 (multiplicity 2)
O  0.083  0.724  0.689 (multiplicity 2)
O  0.126  0.794  0.938 (multiplicity 2)
O  0.199  0.374  0.061 (multiplicity 2)
O  0.237  0.081  0.688 (multiplicity 2)
O  0.245  0.022  0.442 (multiplicity 2)
O  0.250  0.469  0.564 (multiplicity 2)
O  0.279  0.400  0.310 (multiplicity 2)
O  0.304  0.112  0.942 (multiplicity 2)
O  0.387  0.691  0.057 (multiplicity 2)
O  0.400  0.763  0.311 (multiplicity 2)
O  0.469  0.755  0.558 (multiplicity 2)